Starting from a PBE-relaxed structure, the XRD peak list of KNa8Li2 was calculated for Cu Kα (λ = 1.5418 Å).
No peak broadening, texture or thermal motion is included.

a b c (Å): 7.2724 7.2724 20.1882
angles (deg): 90.00 90.00 90.00
Space group I4/mmm (No. 139)
Inequivalent atoms, fractional coordinates:
K1 0.0000 0.0000 0.0000 [2 per cell]
Na1 0.2481 0.2481 0.3449 [16 per cell]
Li1 0.0000 0.5000 0.2500 [4 per cell]

The 6 most intense peaks (2θ from 5° to 70°), most intense first:
- 2θ = 30.3°, rel. 1000, hkl 2 0 4
- 2θ = 34.9°, rel. 548, hkl 2 2 0
- 2θ = 24.5°, rel. 479, hkl 2 0 0
- 2θ = 26.0°, rel. 423, hkl 2 0 2
- 2θ = 26.5°, rel. 412, hkl 0 0 6
- 2θ = 44.3°, rel. 378, hkl 2 2 6

=====

Starting from a PBE-relaxed structure, the XRD peak list of Li6Pd was calculated for Cu Kα (λ = 1.5418 Å).
No peak broadening, texture or thermal motion is included.

a b c (Å): 4.3511 4.3511 6.6345
angles (deg): 90.00 90.00 90.00
Space group P4/mmm (No. 123)
Inequivalent atoms, fractional coordinates:
Li1 0.0000 0.0000 0.0000 [1 per cell]
Li2 0.0000 0.5000 0.2368 [4 per cell]
Li3 0.5000 0.5000 0.5000 [1 per cell]
Pd1 0.5000 0.5000 0.0000 [1 per cell]

The 6 most intense peaks (2θ from 5° to 70°), most intense first:
- 2θ = 13.3°, rel. 1000, hkl 0 0 1
- 2θ = 24.5°, rel. 762, hkl 1 0 1
- 2θ = 20.4°, rel. 729, hkl 1 0 0
- 2θ = 32.1°, rel. 448, hkl 1 1 1
- 2θ = 40.0°, rel. 411, hkl 1 1 2
- 2θ = 34.0°, rel. 395, hkl 1 0 2

=====

Starting from a PBE-relaxed structure, the XRD peak list of Y10Tl3Bi3 was calculated for Cu Kα (λ = 1.5418 Å).
No peak broadening, texture or thermal motion is included.

a b c (Å): 9.0633 9.0633 6.6383
angles (deg): 90.00 90.00 120.00
Space group P-62m (No. 189)
Inequivalent atoms, fractional coordinates:
Y1 0.0000 0.2370 0.0000 [3 per cell]
Y2 0.0000 0.7637 0.5000 [3 per cell]
Y3 0.3333 0.6667 0.2438 [4 per cell]
Tl1 0.0000 0.6062 0.0000 [3 per cell]
Bi1 0.0000 0.3958 0.5000 [3 per cell]

The 6 most intense peaks (2θ from 5° to 70°), most intense first:
- 2θ = 33.1°, rel. 1000, hkl 2 1 1
- 2θ = 33.5°, rel. 657, hkl 1 1 2
- 2θ = 23.8°, rel. 425, hkl 1 1 1
- 2θ = 34.3°, rel. 391, hkl 3 0 0
- 2θ = 26.9°, rel. 340, hkl 0 0 2
- 2θ = 43.8°, rel. 324, hkl 3 1 1

=====

Starting from a PBE-relaxed structure, the XRD peak list of UCdAg4 was calculated for Cu Kα (λ = 1.5418 Å).
No peak broadening, texture or thermal motion is included.

a b c (Å): 7.9224 7.9224 7.9224
angles (deg): 90.00 90.00 90.00
Space group F-43m (No. 216)
Inequivalent atoms, fractional coordinates:
U1 0.0000 0.0000 0.0000 [4 per cell]
Cd1 0.2500 0.2500 0.7500 [4 per cell]
Ag1 0.1244 0.1244 0.3756 [16 per cell]

The 6 most intense peaks (2θ from 5° to 70°), most intense first:
- 2θ = 37.7°, rel. 1000, hkl 3 1 1
- 2θ = 32.0°, rel. 405, hkl 2 2 0
- 2θ = 60.7°, rel. 323, hkl 5 1 1
- 2θ = 39.4°, rel. 281, hkl 2 2 2
- 2θ = 66.8°, rel. 250, hkl 4 4 0
- 2θ = 56.9°, rel. 158, hkl 4 2 2

=====

Starting from a PBE-relaxed structure, the XRD peak list of GaReSiPb2 was calculated for Cu Kα (λ = 1.5418 Å).
No peak broadening, texture or thermal motion is included.

a b c (Å): 5.3902 5.3902 4.7846
angles (deg): 90.00 90.00 90.00
Space group P4/mmm (No. 123)
Inequivalent atoms, fractional coordinates:
Ga1 0.0000 0.0000 0.0000 [1 per cell]
Re1 0.0000 0.0000 0.5000 [1 per cell]
Si1 0.5000 0.5000 0.5000 [1 per cell]
Pb1 0.0000 0.5000 0.0000 [2 per cell]

The 6 most intense peaks (2θ from 5° to 70°), most intense first:
- 2θ = 30.0°, rel. 1000, hkl 1 1 1
- 2θ = 33.2°, rel. 617, hkl 2 0 0
- 2θ = 51.0°, rel. 373, hkl 2 0 2
- 2θ = 16.4°, rel. 359, hkl 1 0 0
- 2θ = 57.4°, rel. 333, hkl 3 1 1
- 2θ = 47.7°, rel. 227, hkl 2 2 0

=====

Starting from a PBE-relaxed structure, the XRD peak list of Ac5BiPb4 was calculated for Cu Kα (λ = 1.5418 Å).
No peak broadening, texture or thermal motion is included.

a b c (Å): 10.9003 10.9003 6.8759
angles (deg): 90.00 90.00 90.00
Space group I4 (No. 79)
Inequivalent atoms, fractional coordinates:
Ac1 0.0000 0.0000 0.0000 [2 per cell]
Ac2 0.0972 0.7028 0.4991 [8 per cell]
Bi1 0.0000 0.0000 0.5001 [2 per cell]
Pb1 0.1012 0.7000 0.9990 [8 per cell]

The 6 most intense peaks (2θ from 5° to 70°), most intense first:
- 2θ = 25.9°, rel. 1000, hkl 3 1 0
- 2θ = 36.9°, rel. 807, hkl 3 1 2
- 2θ = 45.6°, rel. 300, hkl 2 4 2
- 2θ = 66.5°, rel. 300, hkl 2 4 4
- 2θ = 60.0°, rel. 269, hkl 6 2 2
- 2θ = 60.2°, rel. 135, hkl 3 1 4

=====

Starting from a PBE-relaxed structure, the XRD peak list of TaHg2Ru was calculated for Cu Kα (λ = 1.5418 Å).
No peak broadening, texture or thermal motion is included.

a b c (Å): 3.0465 3.0465 8.3652
angles (deg): 90.00 90.00 90.00
Space group P4mm (No. 99)
Inequivalent atoms, fractional coordinates:
Ta1 0.0000 0.0000 0.0000 [1 per cell]
Hg1 0.0000 0.0000 0.5707 [1 per cell]
Hg2 0.5000 0.5000 0.2710 [1 per cell]
Ru1 0.5000 0.5000 0.8221 [1 per cell]

The 6 most intense peaks (2θ from 5° to 70°), most intense first:
- 2θ = 36.5°, rel. 1000, hkl 1 0 2
- 2θ = 41.9°, rel. 398, hkl 1 1 0
- 2θ = 31.2°, rel. 140, hkl 1 0 1
- 2θ = 63.4°, rel. 136, hkl 1 0 5
- 2θ = 60.8°, rel. 134, hkl 2 0 0
- 2θ = 61.8°, rel. 132, hkl 1 1 4

=====

Starting from a PBE-relaxed structure, the XRD peak list of Pm2NdAl was calculated for Cu Kα (λ = 1.5418 Å).
No peak broadening, texture or thermal motion is included.

a b c (Å): 5.4866 6.8529 6.2095
angles (deg): 90.00 90.00 90.00
Space group Pmmn (No. 59, origin choice 2)
Inequivalent atoms, fractional coordinates:
Pm1 0.2500 0.0066 0.1600 [4 per cell]
Nd1 0.2500 0.2500 0.6207 [2 per cell]
Al1 0.2500 0.7500 0.6735 [2 per cell]

The 6 most intense peaks (2θ from 5° to 70°), most intense first:
- 2θ = 34.1°, rel. 1000, hkl 1 2 1
- 2θ = 33.2°, rel. 731, hkl 1 0 2
- 2θ = 32.6°, rel. 442, hkl 2 0 0
- 2θ = 29.8°, rel. 391, hkl 0 2 1
- 2θ = 44.8°, rel. 255, hkl 2 2 1
- 2θ = 62.4°, rel. 213, hkl 2 2 3